This entry pairs a crystal structure of Ba2MnAl2CuF14 with its computed PXRD pattern. Radiation: Cu Kα (weighted mean of Kα1 and Kα2). Structure: a DFT-relaxed cell (GGA+U, Alexandria).

Top 10 peaks for 2θ from 10° to 90°, low angle first:
h k l, Position (°2θ), I (rel.)
1 1 2, 21.9, 24
3 1 0, 25.6, 100
2 0 -4, 27.2, 27
2 0 4, 28.0, 30
4 0 2, 28.8, 20
1 1 -4, 30.3, 24
1 1 4, 30.7, 21
2 0 6, 39.7, 21
5 1 -4, 43.7, 24
3 1 -8, 56.4, 19

Crystal structure
Unit cell a=13.9531 b=5.2596 c=14.5819 alpha=90.00 beta=92.04 gamma=90.00
Space group C2/c (No. 15)
Symmetry-distinct sites (fractional):
Ba 0.1877 0.0662 0.1219 x8
Mn 0.0000 0.4235 0.7500 x4
Al 0.1191 0.0194 0.3735 x8
Cu 0.0000 0.5000 0.0000 x4
F 0.0017 0.0799 0.6554 x8
F 0.0577 0.4537 0.1197 x8
F 0.0826 0.2040 0.4745 x8
F 0.1119 0.2893 0.2947 x8
F 0.1359 0.2551 0.9520 x8
F 0.1584 0.1919 0.7797 x8
F 0.2431 0.0946 0.4012 x8